# 1
Diffraction record for U3O5. The powder XRD pattern is calculated, not measured: it uses a structure optimized by DFT (PBE) and copper Kα.
Neutral-atom scattering factors, no anomalous dispersion.

Top 10 peaks for 10 to 90 degrees two-theta, by angle:
2θ 28.4, rel. 34; 2θ 28.5, rel. 100; 2θ 33.0, rel. 53; 2θ 47.3, rel. 31; 2θ 47.5, rel. 31; 2θ 56.1, rel. 16; 2θ 56.3, rel. 47; 2θ 59.0, rel. 11; 2θ 76.7, rel. 13; 2θ 88.3, rel. 11

Cell and atoms:
a b c (Å): 3.831 3.831 9.426
angles (deg): 90.00 90.00 120.00
Atoms (fractional coordinates):
U: 0.000 0.000 0.000
U: 0.333 0.667 0.657
U: 0.667 0.333 0.329
O: 0.000 0.000 0.242
O: 0.000 0.000 0.762
O: 0.333 0.667 0.414
O: 0.667 0.333 0.054
O: 0.667 0.333 0.580

# 2
Diffraction record for UO3. The powder XRD pattern is calculated, not measured: it uses a structure optimized by DFT (PBE) and copper Kα.
Neutral-atom scattering factors, no anomalous dispersion.

Top 10 peaks for 10 to 90 degrees two-theta, by angle:
2θ 17.6, rel. 30; 2θ 20.0, rel. 51; 2θ 25.5, rel. 100; 2θ 27.0, rel. 47; 2θ 28.9, rel. 42; 2θ 31.6, rel. 66; 2θ 49.0, rel. 28; 2θ 51.8, rel. 30; 2θ 52.4, rel. 27; 2θ 59.2, rel. 20

Cell and atoms:
a b c (Å): 11.236 11.236 11.236
angles (deg): 143.81 143.81 52.11
Atoms (fractional coordinates):
U: 0.000 0.000 0.000
U: 0.000 0.000 0.500
U: 0.000 0.500 0.000
U: 0.186 0.436 0.750
U: 0.436 0.186 0.250
U: 0.500 0.000 0.500
U: 0.564 0.814 0.750
U: 0.814 0.564 0.250
O: 0.076 0.566 0.510
O: 0.093 0.143 0.550
O: 0.093 0.542 0.950
O: 0.143 0.093 0.050
O: 0.177 0.234 0.942
O: 0.208 0.766 0.442
O: 0.234 0.177 0.442
O: 0.234 0.792 0.058
O: 0.434 0.443 0.510
O: 0.434 0.924 0.990
O: 0.443 0.434 0.010
O: 0.458 0.907 0.550
O: 0.542 0.093 0.450
O: 0.557 0.566 0.990
O: 0.566 0.076 0.010
O: 0.566 0.557 0.490
O: 0.766 0.208 0.942
O: 0.766 0.823 0.558
O: 0.792 0.234 0.558
O: 0.823 0.766 0.058
O: 0.857 0.907 0.950
O: 0.907 0.458 0.050
O: 0.907 0.857 0.450
O: 0.924 0.434 0.490